This entry pairs a crystal structure of Th2Cd7 with its computed powder diffractogram. Radiation: copper Kα. Structure: a DFT-relaxed cell (PBE, Alexandria).

Peak list (10 most intense, 10° ≤ 2θ ≤ 80°, low angle first)
index	2theta	I_rel
1 0 10	27.0	25
0 1 11	28.6	19
1 1 0	29.9	37
0 2 1	34.7	29
1 1 9	35.4	100
0 0 18	37.7	30
2 0 8	38.6	13
0 3 9	56.7	25
2 2 0	62.1	22
2 2 18	75.0	17

Cell and atoms:
abc: 5.9766 5.9766 42.9552
angles: 90.00 90.00 120.00
Space group R-3m (No. 166, hexagonal axes)
Asymmetric unit:
Th (0.0000, 0.0000, 0.0511)
Th (0.0000, 0.0000, 0.1514)
Cd (0.0000, 0.0000, 0.2781)
Cd (0.0000, 0.0000, 0.3900)
Cd (0.0000, 0.0000, 0.5000)
Cd (0.0000, 0.5000, 0.0000)
Cd (0.0063, 0.5031, 0.8886)